1.
Structure and theoretical XRD peak list of Ac7In3Co2 (a crystal structure in Alexandria, relaxed with GGA-PBE; copper Kα).
Peak positions follow from Bragg's law for the DFT cell and can differ from measured ones.

Atomic structure:
Cell: 13.891 13.891 5.490 Å, 90.00 90.00 157.15°
Positions (direct):
Ac  0.000  0.000  0.000
Ac  0.099  0.901  0.500
Ac  0.206  0.794  0.000
Ac  0.398  0.602  0.000
Ac  0.602  0.398  0.000
Ac  0.794  0.206  0.000
Ac  0.901  0.099  0.500
In  0.295  0.705  0.500
In  0.500  0.500  0.500
In  0.705  0.295  0.500
Co  0.101  0.899  0.000
Co  0.899  0.101  0.000

Principal peaks in the range 10 to 90 degrees two-theta, low angle first:
| 2θ/deg | I/Imax |
| --- | --- |
| 28.21 | 100 |
| 32.58 | 46 |
| 32.89 | 21 |
| 46.74 | 17 |
| 46.97 | 32 |
| 55.43 | 16 |
| 55.55 | 16 |
| 55.90 | 14 |
| 58.33 | 17 |
| 75.42 | 7 |
| 75.76 | 11 |
| 77.76 | 7 |


2.
Structure and theoretical XRD peak list of Ca2MgZn10 (a crystal structure in Alexandria, relaxed with GGA-PBE; copper Kα).
Peak positions follow from Bragg's law for the DFT cell and can differ from measured ones.

Atomic structure:
Cell: 5.780 7.022 12.001 Å, 90.00 91.34 90.00°
Positions (direct):
Ca  0.038  0.231  0.438
Ca  0.038  0.269  0.938
Ca  0.962  0.731  0.062
Ca  0.962  0.769  0.562
Mg  0.500  0.000  0.000
Mg  0.500  0.500  0.500
Zn  0.157  0.654  0.328
Zn  0.157  0.846  0.828
Zn  0.226  0.135  0.701
Zn  0.226  0.365  0.201
Zn  0.244  0.507  0.726
Zn  0.244  0.993  0.226
Zn  0.425  0.625  0.935
Zn  0.425  0.875  0.435
Zn  0.458  0.697  0.158
Zn  0.458  0.803  0.658
Zn  0.542  0.197  0.342
Zn  0.542  0.303  0.842
Zn  0.575  0.125  0.565
Zn  0.575  0.375  0.065
Zn  0.756  0.007  0.774
Zn  0.756  0.493  0.274
Zn  0.774  0.635  0.799
Zn  0.774  0.865  0.299
Zn  0.843  0.154  0.172
Zn  0.843  0.346  0.672

Principal peaks in the range 10 to 90 degrees two-theta, low angle first:
| 2θ/deg | I/Imax |
| --- | --- |
| 14.77 | 92 |
| 33.55 | 25 |
| 34.17 | 37 |
| 34.78 | 58 |
| 35.77 | 99 |
| 36.39 | 30 |
| 36.52 | 44 |
| 37.70 | 57 |
| 41.02 | 45 |
| 42.41 | 100 |
| 47.87 | 34 |
| 48.28 | 33 |


3.
Structure and theoretical XRD peak list of Al6Ir5Pd (a crystal structure in Alexandria, relaxed with GGA-PBE; copper Kα).
Peak positions follow from Bragg's law for the DFT cell and can differ from measured ones.

Atomic structure:
Cell: 6.830 6.830 5.958 Å, 90.00 90.00 143.17°
Positions (direct):
Al  0.000  0.000  0.249
Al  0.000  0.000  0.751
Al  0.332  0.668  0.249
Al  0.332  0.668  0.751
Al  0.668  0.332  0.249
Al  0.668  0.332  0.751
Ir  0.166  0.834  0.000
Ir  0.166  0.834  0.500
Ir  0.500  0.500  0.500
Ir  0.834  0.166  0.000
Ir  0.834  0.166  0.500
Pd  0.500  0.500  0.000

Principal peaks in the range 10 to 90 degrees two-theta, low angle first:
| 2θ/deg | I/Imax |
| --- | --- |
| 29.25 | 72 |
| 30.00 | 34 |
| 41.85 | 52 |
| 42.40 | 100 |
| 52.34 | 30 |
| 60.67 | 17 |
| 62.34 | 8 |
| 68.76 | 13 |
| 69.15 | 13 |
| 70.33 | 12 |
| 76.80 | 35 |
| 77.93 | 17 |